This entry pairs a crystal structure of Rb4CdAg3F12 with its computed X-ray powder pattern. Radiation: Cu Ka. Structure: DFT lattice parameters and positions (GGA-PBE).

Principal peaks in the range 5° ≤ 2θ ≤ 70°, most intense first:
2theta	I_rel
28.34	100
50.18	40
40.51	39
58.63	24
66.38	17
19.94	8

Crystal structure
Cell lengths 7.713, 7.713, 7.713 Å; angles 109.47, 109.47, 109.47 degrees
Positions (direct):
Rb 0.000 0.000 0.500
Rb 0.000 0.500 0.000
Rb 0.500 0.000 0.000
Rb 0.500 0.500 0.500
Cd 0.000 0.000 0.000
Ag 0.000 0.500 0.500
Ag 0.500 0.000 0.500
Ag 0.500 0.500 0.000
F 0.000 0.249 0.249
F 0.000 0.751 0.751
F 0.249 0.000 0.249
F 0.249 0.249 0.000
F 0.250 0.500 0.750
F 0.250 0.750 0.500
F 0.500 0.250 0.750
F 0.500 0.750 0.250
F 0.750 0.250 0.500
F 0.750 0.500 0.250
F 0.751 0.000 0.751
F 0.751 0.751 0.000